The following is a theoretical X-ray powder pattern of K9Au2. It was derived from a crystal structure in OQMD, relaxed with PBE, using Cu Kα (weighted mean of Kα1 and Kα2).

Main lines, in order of falling intensity (5° ≤ 2θ ≤ 70°):
| 2θ/deg | d (Å) | intensity |
| --- | --- | --- |
| 31.22 | 2.865 | 100 |
| 13.66 | 6.483 | 81 |
| 14.68 | 6.034 | 80 |
| 11.57 | 7.648 | 63 |
| 28.12 | 3.173 | 58 |
| 15.67 | 5.657 | 56 |
| 28.62 | 3.119 | 53 |
| 15.53 | 5.704 | 51 |
| 30.45 | 2.935 | 50 |
| 27.78 | 3.211 | 49 |

Structural model:
```
data_K9Au2
_chemical_formula_sum 'K18 Au4'
_space_group_name_H-M_alt 'P 1'
_space_group_IT_number 1
_cell_length_a 9.0907
_cell_length_b 9.3110
_cell_length_c 13.4957
_cell_angle_alpha 90.00
_cell_angle_beta 96.57
_cell_angle_gamma 90.00
loop_
_space_group_symop_operation_xyz
'x,y,z'
loop_
_atom_site_label
_atom_site_type_symbol
_atom_site_fract_x
_atom_site_fract_y
_atom_site_fract_z
_atom_site_occupancy
K1 K 0.0000 0.0501 0.0000 1
K2 K 0.0000 0.9499 0.5000 1
K3 K 0.0657 0.2497 0.7386 1
K4 K 0.0657 0.7503 0.2386 1
K5 K 0.1240 0.4460 0.4725 1
K6 K 0.1240 0.5540 0.9725 1
K7 K 0.2767 0.1307 0.2838 1
K8 K 0.2767 0.8693 0.7838 1
K9 K 0.4603 0.4318 0.7311 1
K10 K 0.4603 0.5682 0.2311 1
K11 K 0.4842 0.1856 0.0007 1
K12 K 0.4842 0.8144 0.5007 1
K13 K 0.6404 0.3146 0.4684 1
K14 K 0.6404 0.6854 0.9684 1
K15 K 0.6680 0.0669 0.7385 1
K16 K 0.6680 0.9331 0.2385 1
K17 K 0.8496 0.3727 0.1850 1
K18 K 0.8496 0.6273 0.6850 1
Au1 Au 0.3316 0.1412 0.5793 1
Au2 Au 0.3316 0.8588 0.0793 1
Au3 Au 0.7947 0.3576 0.8927 1
Au4 Au 0.7947 0.6424 0.3927 1
```

---

The following is a theoretical X-ray powder pattern of Si2AgGe. It was derived from a crystal structure in OQMD, relaxed with PBE, using Cu Kα (weighted mean of Kα1 and Kα2).

Main lines, in order of falling intensity (5° ≤ 2θ ≤ 70°):
| 2θ/deg | d (Å) | intensity |
| --- | --- | --- |
| 39.05 | 2.307 | 100 |
| 23.62 | 3.767 | 37 |
| 46.14 | 1.967 | 19 |
| 56.41 | 1.631 | 16 |
| 62.00 | 1.497 | 7 |
| 27.34 | 3.262 | 3 |
| 63.79 | 1.459 | 1 |
| 48.32 | 1.884 | 1 |

Structural model:
```
data_Si2AgGe
_chemical_formula_sum 'Si2 Ag1 Ge1'
_space_group_name_H-M_alt 'P 1'
_space_group_IT_number 1
_cell_length_a 4.6137
_cell_length_b 4.6137
_cell_length_c 4.6137
_cell_angle_alpha 60.00
_cell_angle_beta 60.00
_cell_angle_gamma 60.00
loop_
_space_group_symop_operation_xyz
'x,y,z'
loop_
_atom_site_label
_atom_site_type_symbol
_atom_site_fract_x
_atom_site_fract_y
_atom_site_fract_z
_atom_site_occupancy
Si1 Si 0.0000 0.0000 0.0000 1
Si2 Si 0.2500 0.2500 0.2500 1
Ag1 Ag 0.7500 0.7500 0.7500 1
Ge1 Ge 0.5000 0.5000 0.5000 1
```

---

The following is a theoretical X-ray powder pattern of Ag3F4. It was derived from a crystal structure in OQMD, relaxed with PBE, using Cu Kα (weighted mean of Kα1 and Kα2).

Main lines, in order of falling intensity (5° ≤ 2θ ≤ 70°):
| 2θ/deg | d (Å) | intensity |
| --- | --- | --- |
| 31.42 | 2.847 | 100 |
| 24.46 | 3.640 | 48 |
| 43.05 | 2.101 | 46 |
| 59.79 | 1.547 | 32 |
| 39.43 | 2.285 | 27 |
| 54.26 | 1.691 | 18 |
| 46.95 | 1.935 | 16 |
| 37.76 | 2.383 | 12 |
| 66.54 | 1.405 | 11 |
| 55.74 | 1.649 | 7 |

Structural model:
```
data_Ag3F4
_chemical_formula_sum 'Ag6 F8'
_space_group_name_H-M_alt 'P 1'
_space_group_IT_number 1
_cell_length_a 7.2792
_cell_length_b 7.2792
_cell_length_c 4.5701
_cell_angle_alpha 90.00
_cell_angle_beta 90.00
_cell_angle_gamma 120.00
loop_
_space_group_symop_operation_xyz
'x,y,z'
loop_
_atom_site_label
_atom_site_type_symbol
_atom_site_fract_x
_atom_site_fract_y
_atom_site_fract_z
_atom_site_occupancy
Ag1 Ag 0.0308 0.6680 0.2500 1
Ag2 Ag 0.3320 0.3628 0.2500 1
Ag3 Ag 0.3628 0.0308 0.7500 1
Ag4 Ag 0.6372 0.9692 0.2500 1
Ag5 Ag 0.6680 0.6372 0.7500 1
Ag6 Ag 0.9692 0.3320 0.7500 1
F1 F 0.0599 0.7262 0.7500 1
F2 F 0.2738 0.3338 0.7500 1
F3 F 0.3333 0.6667 0.2500 1
F4 F 0.3338 0.0599 0.2500 1
F5 F 0.6662 0.9401 0.7500 1
F6 F 0.6667 0.3333 0.7500 1
F7 F 0.7262 0.6662 0.2500 1
F8 F 0.9401 0.2738 0.2500 1
```